[1]
For YSn, a PBE-relaxed structure gives the calculated XRD peak list in this record (Cu Kα, 1.54184 Å).

Structure:
a = 3.8003 Å, b = 3.8003 Å, c = 3.8003 Å
α = 90.00°, β = 90.00°, γ = 90.00°
Space group Pm-3m (No. 221)
One atom of each set of equivalent atoms:
Y 0.0000 0.0000 0.0000 x1
Sn 0.5000 0.5000 0.5000 x1

Main lines, in order of rising 2θ (2θ from 10° to 90°):
2θ 23.41, d 3.800, I = 2, hkl 1 0 0; 2θ 33.34, d 2.687, I = 100, hkl 1 1 0; 2θ 41.14, d 2.194, I = 1, hkl 1 1 1; 2θ 47.87, d 1.900, I = 18, hkl 2 0 0; 2θ 53.95, d 1.700, I = 1, hkl 2 1 0; 2θ 59.59, d 1.551, I = 38, hkl 2 1 1; 2θ 70.03, d 1.344, I = 12, hkl 2 2 0; 2θ 74.97, d 1.267, I = 1, hkl 3 0 0; 2θ 79.81, d 1.202, I = 17, hkl 3 1 0; 2θ 84.57, d 1.146, I = 1, hkl 3 1 1; 2θ 89.29, d 1.097, I = 4, hkl 2 2 2

---

[2]
For YZnSn, a PBE-relaxed structure gives the calculated XRD peak list in this record (Cu Kα, 1.54184 Å).

Structure:
a = 4.5112 Å, b = 4.5112 Å, c = 16.1192 Å
α = 90.00°, β = 90.00°, γ = 120.00°
Space group P6_3/mmc (No. 194)
One atom of each set of equivalent atoms:
Y 0.0000 0.0000 0.0000 x2
Y 0.0000 0.0000 0.2500 x2
Zn 0.3333 0.6667 0.1612 x4
Sn 0.3333 0.6667 0.6138 x4

Main lines, in order of rising 2θ (2θ from 10° to 90°):
2θ 28.24, d 3.160, I = 31, hkl 1 0 3; 2θ 31.90, d 2.805, I = 100, hkl 1 0 4; 2θ 39.97, d 2.256, I = 74, hkl 1 1 0; 2θ 45.74, d 1.984, I = 27, hkl 1 0 7; 2θ 52.03, d 1.758, I = 25, hkl 2 0 4; 2θ 61.73, d 1.503, I = 16, hkl 1 1 8; 2θ 62.33, d 1.490, I = 11, hkl 2 0 7; 2θ 67.56, d 1.386, I = 22, hkl 2 1 4; 2θ 68.37, d 1.372, I = 11, hkl 1 0 11; 2θ 72.60, d 1.302, I = 13, hkl 3 0 0; 2θ 76.66, d 1.243, I = 12, hkl 2 1 7; 2θ 86.25, d 1.128, I = 8, hkl 2 2 0

---

[3]
For Zr5Sn4, a PBE-relaxed structure gives the calculated XRD peak list in this record (Cu Kα, 1.54184 Å).

Structure:
a = 8.8590 Å, b = 8.8590 Å, c = 5.9793 Å
α = 90.00°, β = 90.00°, γ = 120.00°
Space group P6_3/mcm (No. 193)
One atom of each set of equivalent atoms:
Zr 0.0000 0.2808 0.2500 x6
Zr 0.3333 0.6667 0.0000 x4
Sn 0.0000 0.0000 0.0000 x2
Sn 0.0000 0.3861 0.7500 x6

Main lines, in order of rising 2θ (2θ from 10° to 90°):
2θ 29.89, d 2.990, I = 9, hkl 0 0 2; 2θ 34.37, d 2.609, I = 50, hkl 2 1 1; 2θ 35.09, d 2.557, I = 88, hkl 3 0 0; 2θ 36.25, d 2.478, I = 100, hkl 1 1 2; 2θ 45.23, d 2.005, I = 22, hkl 3 1 1; 2θ 51.34, d 1.780, I = 25, hkl 2 2 2; 2θ 55.98, d 1.643, I = 12, hkl 2 1 3; 2θ 62.09, d 1.495, I = 9, hkl 0 0 4; 2θ 63.71, d 1.461, I = 20, hkl 4 1 2; 2θ 66.34, d 1.409, I = 14, hkl 4 2 1; 2θ 73.36, d 1.291, I = 21, hkl 3 0 4; 2θ 82.22, d 1.172, I = 8, hkl 4 2 3